1.
This entry pairs a crystal structure of TcIrRh2 with its simulated powder diffractogram. Radiation: Cu Kα (λ = 1.5418 Å). Structure: a PBE-relaxed structure.
Peak positions follow from Bragg's law for the DFT cell and can differ from measured ones.

Atomic structure:
```
4
Lattice="2.7193 0.0000 0.0000 0.0000 3.8661 0.0000 0.0000 0.0000 5.4419" Properties=species:S:1:pos:R:3 pbc="T T T"
Tc 0.0000 0.0000 0.0000
Ir 1.3597 1.9330 1.3232
Rh 0.0000 0.0000 2.7090
Rh 1.3597 1.9330 4.0809
```

Largest 6 diffraction maxima, low angle first, 2θ from 5° to 70°:
2θ = 16.29°, d 5.442, I = 6
2θ = 40.55°, d 2.225, I = 100
2θ = 47.01°, d 1.933, I = 16
2θ = 47.26°, d 1.923, I = 32
2θ = 68.86°, d 1.363, I = 21
2θ = 69.06°, d 1.360, I = 10

2.
This entry pairs a crystal structure of Ca2Zn3SnPt4 with its simulated powder diffractogram. Radiation: Cu Kα (λ = 1.5418 Å). Structure: a PBE-relaxed structure.
Peak positions follow from Bragg's law for the DFT cell and can differ from measured ones.

Atomic structure:
```
10
Lattice="4.2424 0.0000 0.0000 0.0000 4.2424 0.0000 0.0000 0.0000 11.0219" Properties=species:S:1:pos:R:3 pbc="T T T"
Ca 0.0000 2.1212 2.5252
Ca 2.1212 0.0000 8.4967
Zn 0.0000 2.1212 9.5956
Zn 2.1212 0.0000 1.4263
Zn 2.1212 2.1212 5.5109
Sn 0.0000 0.0000 5.5109
Pt 0.0000 0.0000 0.0000
Pt 0.0000 2.1212 7.1091
Pt 2.1212 0.0000 3.9127
Pt 2.1212 2.1212 0.0000
```

Largest 6 diffraction maxima, low angle first, 2θ from 5° to 70°:
2θ = 16.08°, d 5.511, I = 39
2θ = 22.46°, d 3.959, I = 51
2θ = 34.03°, d 2.635, I = 100
2θ = 42.62°, d 2.121, I = 65
2θ = 44.65°, d 2.029, I = 79
2θ = 46.42°, d 1.956, I = 23

3.
This entry pairs a crystal structure of Li3OsO6 with its simulated powder diffractogram. Radiation: Cu Kα (λ = 1.5418 Å). Structure: a PBE-relaxed structure.
Peak positions follow from Bragg's law for the DFT cell and can differ from measured ones.

Atomic structure:
```
10
Lattice="4.5595 -2.7300 0.0000 4.5595 2.7300 0.0000 -2.6766 0.0000 4.2525" Properties=species:S:1:pos:R:3 pbc="T T T"
Li 0.0000 0.0000 0.0000
Li 0.0679 0.0000 3.4769
Li 6.3745 0.0000 0.7757
Os 3.2212 0.0000 2.1263
O 3.3170 1.3098 0.8029
O 1.3532 0.0000 1.9800
O 3.1254 1.3098 3.4497
O 3.3170 -1.3098 0.8029
O 5.0892 0.0000 2.2726
O 3.1254 -1.3098 3.4497
```

Largest 6 diffraction maxima, low angle first, 2θ from 5° to 70°:
2θ = 19.92°, d 4.457, I = 100
2θ = 20.89°, d 4.253, I = 41
2θ = 21.31°, d 4.169, I = 46
2θ = 23.05°, d 3.859, I = 33
2θ = 24.07°, d 3.697, I = 67
2θ = 33.29°, d 2.691, I = 30

4.
This entry pairs a crystal structure of Pm4SiCl with its simulated powder diffractogram. Radiation: Cu Kα (λ = 1.5418 Å). Structure: a PBE-relaxed structure.
Peak positions follow from Bragg's law for the DFT cell and can differ from measured ones.

Atomic structure:
```
12
Lattice="3.9416 -7.9933 0.0000 3.9416 7.9933 0.0000 -3.9321 0.0000 5.7790" Properties=species:S:1:pos:R:3 pbc="T T T"
Pm -0.9934 3.1428 4.3287
Pm 0.9419 1.0768 1.4325
Pm -1.0241 -1.0768 4.3220
Pm 0.9727 -3.1428 1.4392
Pm 2.9784 3.1428 4.3398
Pm 4.9751 1.0768 1.4570
Pm 3.0091 -1.0768 4.3465
Pm 4.9444 -3.1428 1.4503
Si 2.9585 6.9431 1.4448
Si 0.9925 -6.9431 4.3343
Cl 0.9925 0.9743 4.3343
Cl 2.9585 -0.9743 1.4448
```

Largest 6 diffraction maxima, low angle first, 2θ from 5° to 70°:
2θ = 27.13°, d 3.287, I = 96
2θ = 27.39°, d 3.256, I = 97
2θ = 30.95°, d 2.890, I = 56
2θ = 31.89°, d 2.806, I = 100
2θ = 45.03°, d 2.013, I = 76
2θ = 53.83°, d 1.703, I = 26